Structure and computed XRD peak list of Cs2Mn3VF12 (a cell relaxed with PBE+U; Cu Kα, 1.54184 Å).
Peak positions follow from Bragg's law for the DFT cell and can differ from measured ones.

Structural model:
Cell: 7.703 7.703 7.703 Å, 58.72 58.72 58.72°
Sites, in units of the cell vectors:
Cs  0.125  0.125  0.125
Cs  0.875  0.875  0.875
Mn  0.000  0.500  0.500
Mn  0.500  0.000  0.500
Mn  0.500  0.500  0.000
V  0.500  0.500  0.500
F  0.182  0.182  0.566
F  0.182  0.566  0.182
F  0.190  0.568  0.568
F  0.432  0.432  0.810
F  0.432  0.810  0.432
F  0.434  0.818  0.818
F  0.566  0.182  0.182
F  0.568  0.190  0.568
F  0.568  0.568  0.190
F  0.810  0.432  0.432
F  0.818  0.434  0.818
F  0.818  0.818  0.434

Main lines, by intensity (10 to 90 degrees two-theta):
| d_spacing | I/Imax |
| --- | --- |
| 3.246 | 100.0 |
| 3.292 | 53.5 |
| 3.224 | 51.3 |
| 3.850 | 40.6 |
| 1.925 | 40.2 |
| 3.777 | 37.2 |
| 1.888 | 35.4 |
| 2.062 | 33.3 |